Diffraction record for Na3TlHg6. The PXRD pattern is simulated, not measured: it uses a crystal structure in Alexandria, relaxed with PBE and Cu Ka.

a b c (Å): 8.3450 8.3450 8.3450
angles (deg): 93.55 93.55 93.55
Sites, in units of the cell vectors:
Na 0.1746 0.7500 0.3254
Na 0.2500 0.6746 0.8254
Na 0.3254 0.1746 0.7500
Na 0.6746 0.8254 0.2500
Na 0.7500 0.3254 0.1746
Na 0.8254 0.2500 0.6746
Tl 0.0000 0.0000 0.0000
Tl 0.5000 0.5000 0.5000
Hg 0.0183 0.9016 0.6419
Hg 0.0984 0.3581 0.9817
Hg 0.1419 0.4016 0.5183
Hg 0.3581 0.9817 0.0984
Hg 0.4016 0.5183 0.1419
Hg 0.4817 0.8581 0.5984
Hg 0.5183 0.1419 0.4016
Hg 0.5984 0.4817 0.8581
Hg 0.6419 0.0183 0.9016
Hg 0.8581 0.5984 0.4817
Hg 0.9016 0.6419 0.0183
Hg 0.9817 0.0984 0.3581

The 8 most intense peaks (2θ from 10° to 90°), most intense first:
| 2θ/deg | d [Å] | intensity |
| --- | --- | --- |
| 21.38 | 4.155 | 100 |
| 23.29 | 3.819 | 96 |
| 31.33 | 2.855 | 86 |
| 33.41 | 2.682 | 83 |
| 44.23 | 2.048 | 59 |
| 40.30 | 2.238 | 58 |
| 31.43 | 2.846 | 47 |
| 39.20 | 2.298 | 41 |